Theoretical powder X-ray diffraction pattern of Pa4P5Rh for a wavelength of 1.5418 Å, from a cell relaxed with GGA-PBE.
Neutral-atom scattering factors, no anomalous dispersion.

Structure:
```
data_Pa4P5Rh
_symmetry_space_group_name_H-M 'R -3 m'
_symmetry_Int_Tables_number 166
_symmetry_space_group_name_Hall '-R 3 2"'
_cell_length_a 3.8872
_cell_length_b 3.8872
_cell_length_c 46.3630
_cell_angle_alpha 90.00
_cell_angle_beta 90.00
_cell_angle_gamma 120.00
loop_
_atom_site_label
_atom_site_fract_x
_atom_site_fract_y
_atom_site_fract_z
Pa1 0.0000 0.0000 0.1080
Pa2 0.0000 0.0000 0.2969
P1 0.0000 0.0000 0.0000
P2 0.0000 0.0000 0.1902
P3 0.0000 0.0000 0.4057
Rh1 0.0000 0.0000 0.5000
```

Top 10 peaks for 2θ = 10–90°, sorted by position:
- 28.2 deg, I = 88, (0 1 5)
- 28.9 deg, I = 22, (0 0 15)
- 32.9 deg, I = 100, (1 0 10)
- 42.7 deg, I = 18, (0 1 17)
- 46.7 deg, I = 43, (1 1 0)
- 47.6 deg, I = 23, (0 1 20)
- 55.5 deg, I = 14, (2 0 5)
- 55.9 deg, I = 22, (1 1 15)
- 58.3 deg, I = 20, (0 2 10)
- 77.8 deg, I = 17, (2 1 10)